Record 1
Theoretical powder X-ray diffraction pattern
Compound: K2CdH4C4Se4N4O2
Radiation: Cu Kα
Structure: the GGA-PBE geometry in OQMD
Neutral-atom scattering factors, no anomalous dispersion.

Principal peaks in the range 2θ = 10–90°, in order of rising 2θ:
8.251 Å, 10.72 deg, I = 87.1
8.032 Å, 11.02 deg, I = 100.0
3.495 Å, 25.49 deg, I = 43.2
3.395 Å, 26.25 deg, I = 53.4
3.375 Å, 26.41 deg, I = 56.7
3.059 Å, 29.19 deg, I = 37.7
3.035 Å, 29.43 deg, I = 50.8
2.954 Å, 30.25 deg, I = 37.5
2.787 Å, 32.12 deg, I = 66.6
2.751 Å, 32.55 deg, I = 38.9

abc: 10.960 10.960 17.858
angles: 112.01 112.01 22.80
Fractional positions:
K 0.098 0.249 0.051
K 0.249 0.098 0.551
K 0.751 0.902 0.449
K 0.902 0.751 0.949
Cd 0.461 0.539 0.250
Cd 0.539 0.461 0.750
H 0.096 0.399 0.760
H 0.160 0.451 0.220
H 0.399 0.096 0.260
H 0.451 0.160 0.720
H 0.549 0.840 0.280
H 0.601 0.904 0.740
H 0.840 0.549 0.780
H 0.904 0.601 0.240
C 0.198 0.489 0.613
C 0.262 0.619 0.399
C 0.381 0.738 0.101
C 0.489 0.198 0.113
C 0.511 0.802 0.887
C 0.619 0.262 0.899
C 0.738 0.381 0.601
C 0.802 0.511 0.387
Se 0.073 0.705 0.712
Se 0.126 0.854 0.118
Se 0.146 0.874 0.382
Se 0.295 0.927 0.788
Se 0.705 0.073 0.212
Se 0.854 0.126 0.618
Se 0.874 0.146 0.882
Se 0.927 0.295 0.288
N 0.275 0.351 0.549
N 0.326 0.462 0.410
N 0.351 0.275 0.049
N 0.462 0.326 0.910
N 0.538 0.674 0.090
N 0.649 0.725 0.951
N 0.674 0.538 0.590
N 0.725 0.649 0.451
O 0.104 0.411 0.212
O 0.411 0.104 0.712
O 0.589 0.896 0.288
O 0.896 0.589 0.788

Record 2
Theoretical powder X-ray diffraction pattern
Compound: TbAuSeO
Radiation: Cu Kα
Structure: the GGA-PBE geometry in OQMD
Neutral-atom scattering factors, no anomalous dispersion.

Principal peaks in the range 2θ = 10–90°, in order of rising 2θ:
5.099 Å, 17.39 deg, I = 22.0
4.054 Å, 21.93 deg, I = 64.5
3.777 Å, 23.55 deg, I = 28.2
3.322 Å, 26.84 deg, I = 49.2
3.237 Å, 27.55 deg, I = 42.3
2.777 Å, 32.24 deg, I = 100.0
2.704 Å, 33.14 deg, I = 60.1
2.564 Å, 35.00 deg, I = 30.4
2.230 Å, 40.44 deg, I = 34.5
2.027 Å, 44.71 deg, I = 56.6

abc: 5.737 5.733 11.160
angles: 90.00 92.19 90.00
Fractional positions:
Tb 0.006 0.000 0.094
Tb 0.493 0.001 0.905
Tb 0.507 0.501 0.095
Tb 0.994 0.500 0.906
Au 0.003 0.023 0.729
Au 0.316 0.277 0.503
Au 0.684 0.777 0.497
Au 0.997 0.523 0.271
Se 0.300 0.224 0.287
Se 0.307 0.324 0.720
Se 0.693 0.824 0.280
Se 0.700 0.724 0.713
O 0.249 0.250 0.002
O 0.251 0.750 0.000
O 0.749 0.250 0.000
O 0.751 0.750 0.998